1.
Structure and theoretical powder diffraction line list of Zn2AgAu6 (a PBE-relaxed structure; copper Kα).

Top 10 peaks for 2θ from 10° to 80°, sorted by position:
2theta	I_rel	index
22.9	18	0 0 2
38.0	100	1 0 2
40.1	51	0 3 3
40.2	25	0 6 0
40.4	16	1 4 0
56.4	9	1 0 4
56.5	18	1 6 2
62.3	8	2 0 0
71.5	14	1 3 5
76.8	23	2 3 3

Atomic structure:
```
data_Zn2AgAu6
_chemical_formula_sum 'Zn4 Ag2 Au12'
_space_group_name_H-M_alt 'A m m 2'
_space_group_IT_number 38
_cell_length_a 2.9790
_cell_length_b 13.4532
_cell_length_c 7.7928
_cell_angle_alpha 90.00
_cell_angle_beta 90.00
_cell_angle_gamma 90.00
loop_
_space_group_symop_operation_xyz
'x,y,z'
'-x,-y,z'
'-x,y,z'
'x,-y,z'
'x,y+1/2,z+1/2'
'-x,-y+1/2,z+1/2'
'-x,y+1/2,z+1/2'
'x,-y+1/2,z+1/2'
loop_
_atom_site_label
_atom_site_type_symbol
_atom_site_fract_x
_atom_site_fract_y
_atom_site_fract_z
Zn1 Zn 0.0000 0.1670 0.0000
Ag1 Ag 0.5000 0.0000 0.4990
Au1 Au 0.0000 0.0000 0.1880
Au2 Au 0.0000 0.1552 0.6558
Au3 Au 0.5000 0.0000 0.8684
Au4 Au 0.5000 0.1846 0.3157
```


2.
Structure and theoretical powder diffraction line list of Rb3TaI6 (a PBE-relaxed structure; copper Kα).

Top 10 peaks for 2θ from 10° to 80°, sorted by position:
2theta	I_rel	index
12.2	31	1 1 1
14.1	50	2 0 0
24.5	58	2 2 2
28.4	100	4 0 0
31.8	21	4 2 0
37.2	20	5 1 1
40.6	70	4 4 0
48.0	20	6 2 2
50.3	23	4 4 4
66.5	25	8 4 0

Atomic structure:
```
data_Rb3TaI6
_chemical_formula_sum 'Rb12 Ta4 I24'
_space_group_name_H-M_alt 'F m -3 m'
_space_group_IT_number 225
_space_group_name_Hall '-F 4 2 3'
_cell_length_a 12.5691
_cell_length_b 12.5691
_cell_length_c 12.5691
_cell_angle_alpha 90.00
_cell_angle_beta 90.00
_cell_angle_gamma 90.00
loop_
_atom_site_label
_atom_site_type_symbol
_atom_site_fract_x
_atom_site_fract_y
_atom_site_fract_z
Rb1 Rb 0.0000 0.0000 0.0000
Rb2 Rb 0.2500 0.2500 0.2500
Ta1 Ta 0.0000 0.0000 0.5000
I1 I 0.0000 0.0000 0.2744
```


3.
Structure and theoretical powder diffraction line list of TePO2F (a PBE-relaxed structure; copper Kα).

Top 10 peaks for 2θ from 10° to 80°, sorted by position:
2theta	I_rel	index
22.1	34	0 0 1
31.4	100	1 1 0
38.7	43	1 1 1
44.9	14	0 0 2
45.1	27	2 0 0
50.7	12	2 0 1
55.8	14	1 1 2
56.0	25	2 1 1
65.5	16	2 0 2
74.6	12	3 1 0

Atomic structure:
```
data_TePO2F
_chemical_formula_sum 'Te1 P1 O2 F1'
_space_group_name_H-M_alt 'P 4/m m m'
_space_group_IT_number 123
_space_group_name_Hall '-P 4 2'
_cell_length_a 4.0218
_cell_length_b 4.0218
_cell_length_c 4.0386
_cell_angle_alpha 90.00
_cell_angle_beta 90.00
_cell_angle_gamma 90.00
loop_
_atom_site_label
_atom_site_type_symbol
_atom_site_fract_x
_atom_site_fract_y
_atom_site_fract_z
Te1 Te 0.0000 0.0000 0.0000
P1 P 0.5000 0.5000 0.5000
O1 O 0.0000 0.5000 0.5000
F1 F 0.5000 0.5000 0.0000
```


4.
Structure and theoretical powder diffraction line list of LaEr2VN4 (a PBE-relaxed structure; copper Kα).

Top 10 peaks for 2θ from 10° to 80°, sorted by position:
2theta	I_rel	index
27.5	65	0 2 3
30.3	40	0 4 0
30.6	34	0 0 4
31.4	100	1 1 2
35.8	40	1 3 1
38.3	53	1 3 2
47.9	25	1 1 5
52.8	23	1 5 3
53.0	29	1 3 5
61.7	21	2 2 3

Atomic structure:
```
data_LaEr2VN4
_chemical_formula_sum 'La4 Er8 V4 N16'
_space_group_name_H-M_alt 'C m c m'
_space_group_IT_number 63
_space_group_name_Hall '-C 2c 2'
_cell_length_a 3.3915
_cell_length_b 11.7902
_cell_length_c 11.6739
_cell_angle_alpha 90.00
_cell_angle_beta 90.00
_cell_angle_gamma 90.00
loop_
_atom_site_label
_atom_site_type_symbol
_atom_site_fract_x
_atom_site_fract_y
_atom_site_fract_z
La1 La 0.0000 0.0830 0.2500
Er1 Er 0.0000 0.3707 0.0423
V1 V 0.0000 0.1762 0.7500
N1 N 0.0000 0.0000 0.0000
N2 N 0.0000 0.2624 0.6222
N3 N 0.0000 0.4187 0.2500
```


5.
Structure and theoretical powder diffraction line list of Pu2GaSnPt6 (a PBE-relaxed structure; copper Kα).

Top 10 peaks for 2θ from 10° to 80°, sorted by position:
2theta	I_rel	index
10.6	73	0 0 1
21.3	45	0 0 2
25.7	31	1 1 -2
34.1	25	2 0 2
38.1	96	4 0 -2
38.9	60	3 1 1
40.1	100	2 2 -2
40.6	48	1 1 3
63.1	27	5 1 -5
67.4	35	0 4 0

Atomic structure:
```
data_Pu2GaSnPt6
_chemical_formula_sum 'Pu4 Ga2 Sn2 Pt12'
_space_group_name_H-M_alt 'C 1 2/m 1'
_space_group_IT_number 12
_cell_length_a 9.6236
_cell_length_b 5.5610
_cell_length_c 8.9453
_cell_angle_alpha 90.00
_cell_angle_beta 110.93
_cell_angle_gamma 90.00
loop_
_space_group_symop_operation_xyz
'x,y,z'
'-x,-y,-z'
'-x,y,-z'
'x,-y,z'
'x+1/2,y+1/2,z'
'-x+1/2,-y+1/2,-z'
'-x+1/2,y+1/2,-z'
'x+1/2,-y+1/2,z'
loop_
_atom_site_label
_atom_site_type_symbol
_atom_site_fract_x
_atom_site_fract_y
_atom_site_fract_z
Pu1 Pu 0.1973 0.0000 0.0922
Ga1 Ga 0.0000 0.5000 0.0000
Sn1 Sn 0.0000 0.0000 0.5000
Pt1 Pt 0.0050 0.2493 0.7642
Pt2 Pt 0.2454 0.5000 0.2360
```


6.
Structure and theoretical powder diffraction line list of KSbTe2O8 (a PBE-relaxed structure; copper Kα).

Top 10 peaks for 2θ from 10° to 80°, sorted by position:
2theta	I_rel	index
19.9	85	1 1 -1
22.3	100	2 0 0
27.5	69	0 2 0
28.3	98	1 1 -2
33.3	65	1 1 2
35.5	28	3 1 -1
35.6	26	2 2 0
39.1	22	3 1 -2
49.1	25	1 3 -2
52.4	25	1 3 2

Atomic structure:
```
data_KSbTe2O8
_chemical_formula_sum 'K2 Sb2 Te4 O16'
_space_group_name_H-M_alt 'C 1 2/m 1'
_space_group_IT_number 12
_cell_length_a 8.2855
_cell_length_b 6.4938
_cell_length_c 7.3269
_cell_angle_alpha 90.00
_cell_angle_beta 105.40
_cell_angle_gamma 90.00
loop_
_space_group_symop_operation_xyz
'x,y,z'
'-x,-y,-z'
'-x,y,-z'
'x,-y,z'
'x+1/2,y+1/2,z'
'-x+1/2,-y+1/2,-z'
'-x+1/2,y+1/2,-z'
'x+1/2,-y+1/2,z'
loop_
_atom_site_label
_atom_site_type_symbol
_atom_site_fract_x
_atom_site_fract_y
_atom_site_fract_z
K1 K 0.0000 0.0000 0.0000
Sb1 Sb 0.0000 0.0000 0.5000
Te1 Te 0.0507 0.5000 0.2357
O1 O 0.0167 0.2192 0.7060
O2 O 0.1556 0.5000 0.0251
O3 O 0.2505 0.0000 0.5511
```


7.
Structure and theoretical powder diffraction line list of Ba2MgIn (a PBE-relaxed structure; copper Kα).

Top 10 peaks for 2θ from 10° to 80°, sorted by position:
2theta	I_rel	index
19.9	54	1 0 1
25.5	69	1 0 4
28.4	100	0 1 5
34.0	80	1 1 0
35.1	17	1 0 7
43.0	17	0 2 4
44.9	28	2 0 5
51.5	26	1 1 9
57.5	27	1 2 5
62.4	18	1 1 12

Atomic structure:
```
data_Ba2MgIn
_chemical_formula_sum 'Ba6 Mg3 In3'
_space_group_name_H-M_alt 'R 3 m'
_space_group_IT_number 160
_space_group_name_Hall 'R 3 -2"'
_cell_length_a 5.2675
_cell_length_b 5.2675
_cell_length_c 21.6340
_cell_angle_alpha 90.00
_cell_angle_beta 90.00
_cell_angle_gamma 120.00
loop_
_atom_site_label
_atom_site_type_symbol
_atom_site_fract_x
_atom_site_fract_y
_atom_site_fract_z
Ba1 Ba 0.0000 0.0000 0.0000
Ba2 Ba 0.0000 0.0000 0.1899
Mg1 Mg 0.0000 0.0000 0.4246
In1 In 0.0000 0.0000 0.7674
```


8.
Structure and theoretical powder diffraction line list of Ti5InHg2 (a PBE-relaxed structure; copper Kα).

Top 10 peaks for 2θ from 10° to 80°, sorted by position:
2theta	I_rel	index
10.5	40	0 0 2
21.0	25	0 0 4
30.3	21	1 1 0
32.1	15	1 1 2
37.1	100	1 1 4
42.8	17	0 0 8
43.4	32	2 0 0
62.5	21	2 0 8
74.6	12	1 1 12
75.5	24	3 1 4

Atomic structure:
```
data_Ti5InHg2
_chemical_formula_sum 'Ti10 In2 Hg4'
_space_group_name_H-M_alt 'I 4/m m m'
_space_group_IT_number 139
_space_group_name_Hall '-I 4 2'
_cell_length_a 4.1737
_cell_length_b 4.1737
_cell_length_c 16.9207
_cell_angle_alpha 90.00
_cell_angle_beta 90.00
_cell_angle_gamma 90.00
loop_
_atom_site_label
_atom_site_type_symbol
_atom_site_fract_x
_atom_site_fract_y
_atom_site_fract_z
Ti1 Ti 0.0000 0.0000 0.0000
Ti2 Ti 0.0000 0.5000 0.1226
In1 In 0.0000 0.0000 0.5000
Hg1 Hg 0.0000 0.0000 0.2505
```